[1]
Theoretical powder XRD pattern
Compound: Er3Mg2Pb4
Radiation: copper Kα
Structure: DFT lattice parameters and positions (PBE)

Atomic structure:
```
data_Er3Mg2Pb4
_symmetry_space_group_name_H-M 'P -1'
_symmetry_Int_Tables_number 2
_symmetry_space_group_name_Hall '-P 1'
_cell_length_a 4.6793
_cell_length_b 7.0385
_cell_length_c 8.3594
_cell_angle_alpha 110.77
_cell_angle_beta 106.23
_cell_angle_gamma 90.02
loop_
_atom_site_label
_atom_site_type_symbol
_atom_site_fract_x
_atom_site_fract_y
_atom_site_fract_z
_atom_site_occupancy
Er1 Er 0.0000 0.0000 0.0000 1
Er2 Er 0.1232 0.6141 0.2456 1
Mg1 Mg 0.3288 0.9989 0.6595 1
Pb1 Pb 0.2226 0.2779 0.4434 1
Pb2 Pb 0.4794 0.6988 0.9591 1
```

Largest 8 diffraction maxima, sorted by position, 15 to 90 degrees two-theta:
(1 0 -2), 26.2 deg, 3.407 Å, I 43
(1 -2 0), 32.1 deg, 2.789 Å, I 22
(1 1 1), 32.6 deg, 2.750 Å, I 100
(1 2 -2), 32.8 deg, 2.730 Å, I 89
(0 1 -3), 33.5 deg, 2.675 Å, I 34
(1 -1 2), 34.0 deg, 2.640 Å, I 18
(2 0 -1), 38.5 deg, 2.340 Å, I 43
(2 1 -4), 51.9 deg, 1.761 Å, I 20


[2]
Theoretical powder XRD pattern
Compound: Er4Mg4Pb7
Radiation: copper Kα
Structure: DFT lattice parameters and positions (PBE)

Atomic structure:
```
data_Er4Mg4Pb7
_symmetry_space_group_name_H-M 'I 4/m m m'
_symmetry_Int_Tables_number 139
_symmetry_space_group_name_Hall '-I 4 2'
_cell_length_a 15.9519
_cell_length_b 15.9519
_cell_length_c 6.2995
_cell_angle_alpha 90.00
_cell_angle_beta 90.00
_cell_angle_gamma 90.00
loop_
_atom_site_label
_atom_site_type_symbol
_atom_site_fract_x
_atom_site_fract_y
_atom_site_fract_z
_atom_site_occupancy
Er1 Er 0.0000 0.1881 0.0000 1
Er2 Er 0.1330 0.1330 0.5000 1
Mg1 Mg 0.1556 0.3444 0.2500 1
Pb1 Pb 0.0000 0.0000 0.2497 1
Pb2 Pb 0.0000 0.2721 0.5000 1
Pb3 Pb 0.0000 0.4050 0.0000 1
Pb4 Pb 0.1933 0.1933 0.0000 1
```

Largest 8 diffraction maxima, sorted by position, 15 to 90 degrees two-theta:
(0 0 2), 28.3 deg, 3.150 Å, I 29
(5 0 1), 31.4 deg, 2.846 Å, I 100
(3 1 2), 33.5 deg, 2.672 Å, I 31
(6 0 0), 33.7 deg, 2.659 Å, I 14
(5 5 0), 40.0 deg, 2.256 Å, I 14
(6 2 2), 46.1 deg, 1.969 Å, I 16
(6 5 1), 46.8 deg, 1.943 Å, I 16
(5 0 3), 52.1 deg, 1.754 Å, I 25


[3]
Theoretical powder XRD pattern
Compound: ErMg14Pb
Radiation: copper Kα
Structure: DFT lattice parameters and positions (PBE)

Atomic structure:
```
data_ErMg14Pb
_symmetry_space_group_name_H-M 'C m m m'
_symmetry_Int_Tables_number 65
_symmetry_space_group_name_Hall '-C 2 2'
_cell_length_a 8.8381
_cell_length_b 9.3685
_cell_length_c 9.3281
_cell_angle_alpha 90.00
_cell_angle_beta 90.00
_cell_angle_gamma 90.00
loop_
_atom_site_label
_atom_site_type_symbol
_atom_site_fract_x
_atom_site_fract_y
_atom_site_fract_z
_atom_site_occupancy
Er1 Er 0.0000 0.0000 0.0000 1
Mg1 Mg 0.0000 0.0000 0.5000 1
Mg2 Mg 0.0000 0.2453 0.2562 1
Mg3 Mg 0.0000 0.5000 0.5000 1
Mg4 Mg 0.2494 0.5000 0.2594 1
Mg5 Mg 0.2500 0.2500 0.0000 1
Mg6 Mg 0.2500 0.2500 0.5000 1
Pb1 Pb 0.0000 0.5000 0.0000 1
```

Largest 8 diffraction maxima, sorted by position, 15 to 90 degrees two-theta:
(0 0 2), 19.0 deg, 4.674 Å, I 39
(0 2 1), 21.2 deg, 4.186 Å, I 29
(2 0 1), 22.3 deg, 3.994 Å, I 27
(2 2 0), 27.8 deg, 3.211 Å, I 31
(2 2 1), 29.4 deg, 3.039 Å, I 29
(2 2 2), 33.9 deg, 2.647 Å, I 100
(0 4 0), 38.4 deg, 2.342 Å, I 18
(0 0 4), 38.6 deg, 2.332 Å, I 17


[4]
Theoretical powder XRD pattern
Compound: Er2Mg3Pb3
Radiation: copper Kα
Structure: DFT lattice parameters and positions (PBE)

Atomic structure:
```
data_Er2Mg3Pb3
_symmetry_space_group_name_H-M 'P m m m'
_symmetry_Int_Tables_number 47
_symmetry_space_group_name_Hall '-P 2 2'
_cell_length_a 4.6872
_cell_length_b 4.8417
_cell_length_c 9.0546
_cell_angle_alpha 90.00
_cell_angle_beta 90.00
_cell_angle_gamma 90.00
loop_
_atom_site_label
_atom_site_type_symbol
_atom_site_fract_x
_atom_site_fract_y
_atom_site_fract_z
_atom_site_occupancy
Er1 Er 0.0000 0.0000 0.2476 1
Mg1 Mg 0.0000 0.5000 0.5000 1
Mg2 Mg 0.5000 0.5000 0.2587 1
Pb1 Pb 0.0000 0.5000 0.0000 1
Pb2 Pb 0.5000 0.0000 0.0000 1
Pb3 Pb 0.5000 0.0000 0.5000 1
```

Largest 8 diffraction maxima, sorted by position, 15 to 90 degrees two-theta:
(0 1 0), 18.3 deg, 4.842 Å, I 21
(1 0 2), 27.4 deg, 3.256 Å, I 16
(1 1 2), 33.2 deg, 2.702 Å, I 100
(0 2 0), 37.1 deg, 2.421 Å, I 19
(2 0 0), 38.4 deg, 2.343 Å, I 18
(0 0 4), 39.8 deg, 2.264 Å, I 16
(1 3 2), 64.4 deg, 1.446 Å, I 15
(3 1 2), 66.1 deg, 1.413 Å, I 14


[5]
Theoretical powder XRD pattern
Compound: ErMg4Pb3
Radiation: copper Kα
Structure: DFT lattice parameters and positions (PBE)

Atomic structure:
```
data_ErMg4Pb3
_symmetry_space_group_name_H-M 'A m m 2'
_symmetry_Int_Tables_number 38
_symmetry_space_group_name_Hall 'A 2 -2'
_cell_length_a 4.9378
_cell_length_b 6.2965
_cell_length_c 13.5270
_cell_angle_alpha 90.00
_cell_angle_beta 90.00
_cell_angle_gamma 90.00
loop_
_atom_site_label
_atom_site_type_symbol
_atom_site_fract_x
_atom_site_fract_y
_atom_site_fract_z
_atom_site_occupancy
Er1 Er 0.0000 0.0000 0.0000 1
Mg1 Mg 0.0000 0.0000 0.7428 1
Mg2 Mg 0.5000 0.0000 0.3925 1
Mg3 Mg 0.5000 0.2444 0.1354 1
Pb1 Pb 0.0000 0.0000 0.2498 1
Pb2 Pb 0.0000 0.0000 0.5232 1
Pb3 Pb 0.5000 0.0000 0.8535 1
```

Largest 8 diffraction maxima, sorted by position, 15 to 90 degrees two-theta:
(1 0 2), 22.3 deg, 3.988 Å, I 33
(1 1 1), 23.8 deg, 3.734 Å, I 66
(0 1 3), 24.3 deg, 3.666 Å, I 41
(0 2 0), 28.3 deg, 3.148 Å, I 62
(1 0 4), 32.1 deg, 2.790 Å, I 100
(2 0 0), 36.4 deg, 2.470 Å, I 73
(1 2 4), 43.3 deg, 2.088 Å, I 68
(2 2 0), 46.8 deg, 1.943 Å, I 33


[6]
Theoretical powder XRD pattern
Compound: Er3Mg2Pb3
Radiation: copper Kα
Structure: DFT lattice parameters and positions (PBE)

Atomic structure:
```
data_Er3Mg2Pb3
_symmetry_space_group_name_H-M 'P 63/m c m'
_symmetry_Int_Tables_number 193
_symmetry_space_group_name_Hall '-P 6c 2'
_cell_length_a 8.8795
_cell_length_b 8.8795
_cell_length_c 6.3027
_cell_angle_alpha 90.00
_cell_angle_beta 90.00
_cell_angle_gamma 120.00
loop_
_atom_site_label
_atom_site_type_symbol
_atom_site_fract_x
_atom_site_fract_y
_atom_site_fract_z
_atom_site_occupancy
Er1 Er 0.0000 0.2408 0.2500 1
Mg1 Mg 0.3333 0.6667 0.0000 1
Pb1 Pb 0.0000 0.3988 0.7500 1
```

Largest 8 diffraction maxima, sorted by position, 15 to 90 degrees two-theta:
(1 1 0), 20.0 deg, 4.440 Å, I 32
(0 0 2), 28.3 deg, 3.151 Å, I 39
(2 1 1), 34.0 deg, 2.639 Å, I 100
(3 0 0), 34.9 deg, 2.567 Å, I 42
(3 1 1), 44.9 deg, 2.020 Å, I 19
(2 1 3), 53.8 deg, 1.703 Å, I 27
(5 0 0), 60.2 deg, 1.538 Å, I 12
(5 0 2), 67.8 deg, 1.382 Å, I 16


[7]
Theoretical powder XRD pattern
Compound: ErMg4Pb5
Radiation: copper Kα
Structure: DFT lattice parameters and positions (PBE)

Atomic structure:
```
data_ErMg4Pb5
_symmetry_space_group_name_H-M 'P 4/m m m'
_symmetry_Int_Tables_number 123
_symmetry_space_group_name_Hall '-P 4 2'
_cell_length_a 3.8212
_cell_length_b 3.8212
_cell_length_c 18.1608
_cell_angle_alpha 90.00
_cell_angle_beta 90.00
_cell_angle_gamma 90.00
loop_
_atom_site_label
_atom_site_type_symbol
_atom_site_fract_x
_atom_site_fract_y
_atom_site_fract_z
_atom_site_occupancy
Er1 Er 0.0000 0.0000 0.0000 1
Mg1 Mg 0.0000 0.0000 0.2038 1
Mg2 Mg 0.0000 0.0000 0.4008 1
Pb1 Pb 0.5000 0.5000 0.1080 1
Pb2 Pb 0.5000 0.5000 0.3027 1
Pb3 Pb 0.5000 0.5000 0.5000 1
```

Largest 8 diffraction maxima, sorted by position, 15 to 90 degrees two-theta:
(1 0 0), 23.3 deg, 3.821 Å, I 44
(0 0 5), 24.5 deg, 3.632 Å, I 19
(1 1 0), 33.2 deg, 2.702 Å, I 55
(1 0 5), 34.1 deg, 2.633 Å, I 100
(1 1 5), 41.7 deg, 2.168 Å, I 20
(2 0 0), 47.6 deg, 1.911 Å, I 20
(2 1 5), 59.8 deg, 1.546 Å, I 40
(1 1 10), 61.5 deg, 1.507 Å, I 17


[8]
Theoretical powder XRD pattern
Compound: Er3MgPb12
Radiation: copper Kα
Structure: DFT lattice parameters and positions (PBE)

Atomic structure:
```
data_Er3MgPb12
_symmetry_space_group_name_H-M 'P 4/m m m'
_symmetry_Int_Tables_number 123
_symmetry_space_group_name_Hall '-P 4 2'
_cell_length_a 4.8294
_cell_length_b 4.8294
_cell_length_c 19.8483
_cell_angle_alpha 90.00
_cell_angle_beta 90.00
_cell_angle_gamma 90.00
loop_
_atom_site_label
_atom_site_type_symbol
_atom_site_fract_x
_atom_site_fract_y
_atom_site_fract_z
_atom_site_occupancy
Er1 Er 0.0000 0.0000 0.0000 1
Er2 Er 0.0000 0.0000 0.2430 1
Mg1 Mg 0.0000 0.0000 0.5000 1
Pb1 Pb 0.0000 0.5000 0.1237 1
Pb2 Pb 0.0000 0.5000 0.3752 1
Pb3 Pb 0.5000 0.5000 0.0000 1
Pb4 Pb 0.5000 0.5000 0.2508 1
Pb5 Pb 0.5000 0.5000 0.5000 1
```

Largest 8 diffraction maxima, sorted by position, 15 to 90 degrees two-theta:
(1 1 4), 31.8 deg, 2.813 Å, I 100
(0 0 8), 36.2 deg, 2.481 Å, I 18
(2 0 0), 37.2 deg, 2.415 Å, I 33
(2 0 8), 52.9 deg, 1.730 Å, I 24
(1 1 12), 62.4 deg, 1.489 Å, I 15
(3 1 4), 63.8 deg, 1.460 Å, I 28
(2 2 8), 66.5 deg, 1.407 Å, I 12
(3 1 12), 86.8 deg, 1.122 Å, I 13


[9]
Theoretical powder XRD pattern
Compound: ErMg7Pb4
Radiation: copper Kα
Structure: DFT lattice parameters and positions (PBE)

Atomic structure:
```
data_ErMg7Pb4
_symmetry_space_group_name_H-M 'C 1 2/m 1'
_symmetry_Int_Tables_number 12
_symmetry_space_group_name_Hall '-C 2y'
_cell_length_a 12.3638
_cell_length_b 5.8260
_cell_length_c 10.9120
_cell_angle_alpha 90.00
_cell_angle_beta 122.97
_cell_angle_gamma 90.00
loop_
_atom_site_label
_atom_site_type_symbol
_atom_site_fract_x
_atom_site_fract_y
_atom_site_fract_z
_atom_site_occupancy
Er1 Er 0.0000 0.0000 0.0000 1
Mg1 Mg 0.0000 0.5000 0.0000 1
Mg2 Mg 0.0975 0.0000 0.4373 1
Mg3 Mg 0.1930 0.5000 0.9101 1
Mg4 Mg 0.2009 0.5000 0.6454 1
Pb1 Pb 0.0912 0.5000 0.3184 1
Pb2 Pb 0.1926 0.0000 0.7728 1
```

Largest 8 diffraction maxima, sorted by position, 15 to 90 degrees two-theta:
(1 1 1), 22.2 deg, 4.011 Å, I 100
(2 0 -3), 24.5 deg, 3.632 Å, I 23
(3 1 -2), 27.1 deg, 3.296 Å, I 65
(4 0 -1), 30.3 deg, 2.951 Å, I 50
(0 2 0), 30.7 deg, 2.914 Å, I 62
(3 1 -4), 36.7 deg, 2.451 Å, I 34
(1 1 3), 38.2 deg, 2.354 Å, I 27
(4 2 -1), 43.7 deg, 2.073 Å, I 37


[10]
Theoretical powder XRD pattern
Compound: ErMgTlPb
Radiation: copper Kα
Structure: DFT lattice parameters and positions (PBE)

Atomic structure:
```
data_ErMgTlPb
_symmetry_space_group_name_H-M 'P m m m'
_symmetry_Int_Tables_number 47
_symmetry_space_group_name_Hall '-P 2 2'
_cell_length_a 4.4222
_cell_length_b 4.7318
_cell_length_c 4.9506
_cell_angle_alpha 90.00
_cell_angle_beta 90.00
_cell_angle_gamma 90.00
loop_
_atom_site_label
_atom_site_type_symbol
_atom_site_fract_x
_atom_site_fract_y
_atom_site_fract_z
_atom_site_occupancy
Er1 Er 0.0000 0.0000 0.0000 1
Mg1 Mg 0.0000 0.5000 0.5000 1
Tl1 Tl 0.5000 0.0000 0.5000 1
Pb1 Pb 0.5000 0.5000 0.0000 1
```

Largest 8 diffraction maxima, sorted by position, 15 to 90 degrees two-theta:
(1 1 1), 33.1 deg, 2.706 Å, I 100
(0 0 2), 36.3 deg, 2.475 Å, I 20
(0 2 0), 38.0 deg, 2.366 Å, I 17
(2 0 0), 40.8 deg, 2.211 Å, I 14
(0 2 2), 53.6 deg, 1.710 Å, I 13
(1 1 3), 63.3 deg, 1.470 Å, I 16
(1 3 1), 65.6 deg, 1.423 Å, I 14
(3 1 1), 69.5 deg, 1.353 Å, I 25


[11]
Theoretical powder XRD pattern
Compound: ErMgPd6
Radiation: copper Kα
Structure: DFT lattice parameters and positions (PBE)

Atomic structure:
```
data_ErMgPd6
_symmetry_space_group_name_H-M 'P 4/m m m'
_symmetry_Int_Tables_number 123
_symmetry_space_group_name_Hall '-P 4 2'
_cell_length_a 4.0523
_cell_length_b 4.0523
_cell_length_c 8.0329
_cell_angle_alpha 90.00
_cell_angle_beta 90.00
_cell_angle_gamma 90.00
loop_
_atom_site_label
_atom_site_type_symbol
_atom_site_fract_x
_atom_site_fract_y
_atom_site_fract_z
_atom_site_occupancy
Er1 Er 0.0000 0.0000 0.0000 1
Mg1 Mg 0.0000 0.0000 0.5000 1
Pd1 Pd 0.0000 0.5000 0.2584 1
Pd2 Pd 0.5000 0.5000 0.0000 1
Pd3 Pd 0.5000 0.5000 0.5000 1
```

Largest 8 diffraction maxima, sorted by position, 15 to 90 degrees two-theta:
(1 1 2), 38.6 deg, 2.333 Å, I 100
(2 0 0), 44.7 deg, 2.026 Å, I 33
(0 0 4), 45.1 deg, 2.008 Å, I 16
(2 2 0), 65.1 deg, 1.433 Å, I 11
(2 0 4), 65.4 deg, 1.426 Å, I 20
(3 1 2), 78.3 deg, 1.221 Å, I 25
(1 1 6), 78.9 deg, 1.213 Å, I 11
(2 2 4), 82.8 deg, 1.166 Å, I 10


[12]
Theoretical powder XRD pattern
Compound: Er3Mg7Pd2
Radiation: copper Kα
Structure: DFT lattice parameters and positions (PBE)

Atomic structure:
```
data_Er3Mg7Pd2
_symmetry_space_group_name_H-M 'R -3 m'
_symmetry_Int_Tables_number 166
_symmetry_space_group_name_Hall '-R 3 2"'
_cell_length_a 5.8351
_cell_length_b 5.8351
_cell_length_c 27.8620
_cell_angle_alpha 90.00
_cell_angle_beta 90.00
_cell_angle_gamma 120.00
loop_
_atom_site_label
_atom_site_type_symbol
_atom_site_fract_x
_atom_site_fract_y
_atom_site_fract_z
_atom_site_occupancy
Er1 Er 0.0000 0.0000 0.0000 1
Er2 Er 0.0000 0.0000 0.1462 1
Mg1 Mg 0.0000 0.0000 0.5000 1
Mg2 Mg 0.0027 0.5013 0.9242 1
Pd1 Pd 0.0000 0.0000 0.3338 1
```

Largest 8 diffraction maxima, sorted by position, 15 to 90 degrees two-theta:
(1 0 1), 17.8 deg, 4.972 Å, I 20
(0 0 6), 19.1 deg, 4.644 Å, I 42
(1 0 7), 28.5 deg, 3.127 Å, I 32
(1 1 0), 30.6 deg, 2.918 Å, I 77
(1 1 6), 36.4 deg, 2.470 Å, I 100
(3 0 0), 54.5 deg, 1.684 Å, I 15
(3 0 6), 58.3 deg, 1.583 Å, I 25
(2 2 0), 63.8 deg, 1.459 Å, I 16